Theoretical PXRD pattern of Cr4OF11 for Cu Kα, from the PBE+U geometry in the Materials Project.

Crystal structure
Lattice parameters (Å, degrees): 5.058 5.342 16.920 83.27 81.42 61.78
Space group P1 (No. 1)
Symmetry-distinct sites (fractional):
Cr: 0.000 0.000 0.000 [1 per cell]
Cr: 0.098 0.124 0.625 [1 per cell]
Cr: 0.229 0.262 0.245 [1 per cell]
Cr: 0.366 0.384 0.870 [1 per cell]
Cr: 0.481 0.506 0.496 [1 per cell]
Cr: 0.588 0.646 0.118 [1 per cell]
Cr: 0.746 0.770 0.743 [1 per cell]
Cr: 0.856 0.884 0.371 [1 per cell]
O: 0.204 0.852 0.089 [1 per cell]
O: 0.952 0.977 0.714 [1 per cell]
F: 0.001 0.423 0.153 [1 per cell]
F: 0.013 0.042 0.278 [1 per cell]
F: 0.040 0.446 0.683 [1 per cell]
F: 0.172 0.822 0.558 [1 per cell]
F: 0.203 0.228 0.964 [1 per cell]
F: 0.262 0.289 0.531 [1 per cell]
F: 0.262 0.666 0.403 [1 per cell]
F: 0.295 0.698 0.933 [1 per cell]
F: 0.430 0.071 0.808 [1 per cell]
F: 0.452 0.103 0.338 [1 per cell]
F: 0.452 0.477 0.213 [1 per cell]
F: 0.511 0.916 0.652 [1 per cell]
F: 0.521 0.547 0.778 [1 per cell]
F: 0.539 0.947 0.183 [1 per cell]
F: 0.678 0.321 0.058 [1 per cell]
F: 0.701 0.725 0.464 [1 per cell]
F: 0.703 0.353 0.590 [1 per cell]
F: 0.764 0.165 0.906 [1 per cell]
F: 0.767 0.792 0.027 [1 per cell]
F: 0.791 0.197 0.433 [1 per cell]
F: 0.924 0.572 0.308 [1 per cell]
F: 0.959 0.600 0.838 [1 per cell]

Main lines, sorted by position (10 to 90 degrees two-theta):
two_theta	intensity
24.11	50.5
24.29	100.0
33.63	20.7
33.73	10.6
40.78	12.1
41.00	23.9
49.39	8.9
49.77	16.6
54.89	27.1
63.64	11.4


Theoretical PXRD pattern of Cr4OF11 for Cu Kα, from the PBE+U geometry in the Materials Project.

Crystal structure
Lattice parameters (Å, degrees): 5.084 5.332 16.895 88.26 81.71 61.71
Space group P1 (No. 1)
Symmetry-distinct sites (fractional):
Cr: 0.000 0.000 0.000 [1 per cell]
Cr: 0.001 0.489 0.500 [1 per cell]
Cr: 0.251 0.376 0.126 [1 per cell]
Cr: 0.255 0.854 0.628 [1 per cell]
Cr: 0.491 0.265 0.746 [1 per cell]
Cr: 0.509 0.759 0.253 [1 per cell]
Cr: 0.745 0.111 0.371 [1 per cell]
Cr: 0.750 0.628 0.874 [1 per cell]
O: 0.253 0.560 0.687 [1 per cell]
O: 0.686 0.966 0.282 [1 per cell]
F: 0.184 0.904 0.343 [1 per cell]
F: 0.186 0.218 0.033 [1 per cell]
F: 0.186 0.713 0.533 [1 per cell]
F: 0.187 0.407 0.842 [1 per cell]
F: 0.243 0.178 0.564 [1 per cell]
F: 0.248 0.686 0.063 [1 per cell]
F: 0.255 0.060 0.188 [1 per cell]
F: 0.314 0.841 0.907 [1 per cell]
F: 0.316 0.029 0.718 [1 per cell]
F: 0.316 0.340 0.407 [1 per cell]
F: 0.320 0.535 0.218 [1 per cell]
F: 0.686 0.155 0.093 [1 per cell]
F: 0.687 0.654 0.593 [1 per cell]
F: 0.689 0.466 0.781 [1 per cell]
F: 0.739 0.942 0.811 [1 per cell]
F: 0.747 0.434 0.313 [1 per cell]
F: 0.752 0.808 0.438 [1 per cell]
F: 0.753 0.312 0.937 [1 per cell]
F: 0.815 0.590 0.159 [1 per cell]
F: 0.815 0.780 0.968 [1 per cell]
F: 0.816 0.276 0.465 [1 per cell]
F: 0.817 0.089 0.657 [1 per cell]

Main lines, sorted by position (10 to 90 degrees two-theta):
two_theta	intensity
24.10	50.4
24.27	100.0
33.64	31.2
40.76	12.1
40.97	23.9
49.36	8.9
49.73	16.7
54.57	14.2
54.85	27.1
63.58	11.5